This entry pairs a crystal structure of K11Cd2Sb5 with its computed powder diffraction line list. Radiation: a wavelength of 1.5418 Å. Structure: a cell relaxed with GGA-PBE.

The 10 most intense peaks (10° ≤ 2θ ≤ 90°), in order of falling intensity:
- (-3 2 2), 2θ 30.57, intensity 100
- (-1 2 1), 2θ 18.20, intensity 72
- (1 -4 1), 2θ 29.46, intensity 42
- (2 -4 3), 2θ 35.21, intensity 41
- (2 0 -1), 2θ 18.83, intensity 31
- (3 0 1), 2θ 31.03, intensity 28
- (2 2 2), 2θ 36.22, intensity 27
- (1 0 -2), 2θ 15.48, intensity 24
- (0 0 2), 2θ 14.35, intensity 21
- (-2 2 3), 2θ 30.22, intensity 19

Cell and atoms:
```
data_K11Cd2Sb5
_chemical_formula_sum 'K22 Cd4 Sb10'
_symmetry_space_group_name_H-M 'P -1'
_symmetry_Int_Tables_number 2
_symmetry_space_group_name_Hall '-P 1'
_cell_length_a 10.037
_cell_length_b 12.128
_cell_length_c 12.972
_cell_angle_alpha 103.52
_cell_angle_beta 97.16
_cell_angle_gamma 107.56
loop_
_atom_site_label
_atom_site_fract_x
_atom_site_fract_y
_atom_site_fract_z
K1 0.049 0.207 0.270
K2 0.123 0.404 0.018
K3 0.143 0.926 0.038
K4 0.203 0.057 0.571
K5 0.203 0.579 0.571
K6 0.304 0.394 0.776
K7 0.352 0.913 0.792
K8 0.364 0.826 0.439
K9 0.369 0.335 0.469
K10 0.393 0.747 0.141
K11 0.414 0.274 0.136
Cd1 0.053 0.541 0.282
Cd2 0.054 0.876 0.285
Sb1 0.002 0.265 0.555
Sb2 0.191 0.132 0.866
Sb3 0.193 0.648 0.866
Sb4 0.337 0.527 0.300
Sb5 0.339 0.044 0.308
```